Record 1
Calculated X-ray powder pattern of V4As2P for Cu Ka, from a crystal structure in Alexandria, relaxed with GGA-PBE.

Structural model:
Cell lengths 6.4493, 9.6056, 3.3754 Å; angles 90.00, 90.00, 90.00 degrees
Space group Pbam (No. 55)
One atom of each set of equivalent atoms:
1 V 0.1359 0.2180 0.0000 x4
2 V 0.2035 0.9164 0.5000 x4
3 As 0.0816 0.6510 0.5000 x4
4 P 0.0000 0.0000 0.0000 x2

Top 8 peaks for 2θ from 10° to 90°, by intensity:
39.8°, rel. 100, hkl 2 1 1; 46.4°, rel. 43, hkl 0 4 1; 31.3°, rel. 34, hkl 1 1 1; 41.3°, rel. 31, hkl 1 3 1; 40.1°, rel. 30, hkl 1 4 0; 46.3°, rel. 30, hkl 3 2 0; 39.7°, rel. 29, hkl 2 3 0; 31.2°, rel. 27, hkl 1 3 0

Record 2
Calculated X-ray powder pattern of Ba2ZnH for Cu Ka, from a crystal structure in Alexandria, relaxed with GGA-PBE.

Structural model:
Cell lengths 7.8107, 7.8107, 8.9228 Å; angles 90.00, 90.00, 90.00 degrees
Space group I-42d (No. 122)
One atom of each set of equivalent atoms:
1 Ba 0.1707 0.2500 0.1250 x8
2 Zn 0.0000 0.0000 0.5000 x4
3 H 0.0000 0.0000 0.0000 x4

Top 8 peaks for 2θ from 10° to 90°, by intensity:
25.7°, rel. 100, hkl 1 1 2; 27.4°, rel. 71, hkl 2 1 1; 46.9°, rel. 25, hkl 2 0 4; 35.9°, rel. 23, hkl 3 0 1; 32.4°, rel. 22, hkl 2 2 0; 52.2°, rel. 21, hkl 3 2 3; 41.8°, rel. 19, hkl 3 1 2; 22.8°, rel. 19, hkl 2 0 0

Record 3
Calculated X-ray powder pattern of InSnI5 for Cu Ka, from a crystal structure in Alexandria, relaxed with GGA-PBE.

Structural model:
Cell lengths 8.4112, 8.4151, 11.8906 Å; angles 69.59, 69.60, 87.97 degrees
Space group P1 (No. 1)
One atom of each set of equivalent atoms:
1 In 0.0000 0.0000 0.0000 x1
2 In 0.2161 0.7848 0.4999 x1
3 Sn 0.6053 0.3997 0.2416 x1
4 Sn 0.6154 0.3893 0.7417 x1
5 I 0.2600 0.1391 0.4140 x1
6 I 0.3202 0.6417 0.7082 x1
7 I 0.3446 0.6849 0.2892 x1
8 I 0.3544 0.0445 0.9144 x1
9 I 0.5203 0.4876 0.0113 x1
10 I 0.7026 0.3037 0.5118 x1
11 I 0.8566 0.1039 0.2083 x1
12 I 0.8604 0.7428 0.5950 x1
13 I 0.8999 0.1277 0.7894 x1
14 I 0.9589 0.6443 0.0955 x1

Top 8 peaks for 2θ from 10° to 90°, by intensity:
16.7°, rel. 100, hkl 1 1 0; 30.0°, rel. 36, hkl 1 1 4; 35.3°, rel. 35, hkl 2 -2 2; 21.1°, rel. 31, hkl 0 2 1; 33.8°, rel. 31, hkl 2 2 0; 27.0°, rel. 30, hkl 0 2 -1; 22.9°, rel. 25, hkl -1 1 2; 24.4°, rel. 25, hkl 2 -1 1

Repeat the third record exactly.
Calculated X-ray powder pattern of InSnI5 for Cu Ka, from a crystal structure in Alexandria, relaxed with GGA-PBE.

Structural model:
Cell lengths 8.4112, 8.4151, 11.8906 Å; angles 69.59, 69.60, 87.97 degrees
Space group P1 (No. 1)
One atom of each set of equivalent atoms:
1 In 0.0000 0.0000 0.0000 x1
2 In 0.2161 0.7848 0.4999 x1
3 Sn 0.6053 0.3997 0.2416 x1
4 Sn 0.6154 0.3893 0.7417 x1
5 I 0.2600 0.1391 0.4140 x1
6 I 0.3202 0.6417 0.7082 x1
7 I 0.3446 0.6849 0.2892 x1
8 I 0.3544 0.0445 0.9144 x1
9 I 0.5203 0.4876 0.0113 x1
10 I 0.7026 0.3037 0.5118 x1
11 I 0.8566 0.1039 0.2083 x1
12 I 0.8604 0.7428 0.5950 x1
13 I 0.8999 0.1277 0.7894 x1
14 I 0.9589 0.6443 0.0955 x1

Top 8 peaks for 2θ from 10° to 90°, by intensity:
16.7°, rel. 100, hkl 1 1 0; 30.0°, rel. 36, hkl 1 1 4; 35.3°, rel. 35, hkl 2 -2 2; 21.1°, rel. 31, hkl 0 2 1; 33.8°, rel. 31, hkl 2 2 0; 27.0°, rel. 30, hkl 0 2 -1; 22.9°, rel. 25, hkl -1 1 2; 24.4°, rel. 25, hkl 2 -1 1